The following is a theoretical powder diffractogram of Cr2AgS4. It was derived from a DFT-relaxed cell (PBE, Alexandria), using Cu Kα (weighted mean of Kα1 and Kα2).
Peak positions follow from Bragg's law for the DFT cell and can differ from measured ones.

Top 10 peaks for 10° ≤ 2θ ≤ 90°, in order of rising 2θ:
2theta  Rel. int.
14.97  79
19.75  44
21.20  39
29.30  32
29.83  66
32.59  36
40.11  78
40.62  45
42.15  100
53.41  52

Atomic structure:
```
Cr2AgS4
1.0
5.933 0.000 0.000
0.000 3.472 0.000
-0.446 0.000 6.368
Cr Ag S
2 1 4
direct
0.000 0.000 0.000 Cr
0.500 0.500 0.000 Cr
0.000 0.000 0.500 Ag
0.182 0.500 0.210 S
0.323 0.000 0.795 S
0.677 0.000 0.205 S
0.818 0.500 0.790 S
```